Starting from a cell relaxed with PBE, the XRD peak list of CaLa2PmTl4 was computed for Cu Kα (λ = 1.5418 Å).
Intensities are scaled so that the largest is 100.

Main lines, by angle (2θ from 10° to 90°):
2.794 Å, intensity 100
2.776 Å, intensity 100
1.969 Å, intensity 37
1.617 Å, intensity 19
1.606 Å, intensity 39
1.603 Å, intensity 19

Cell and atoms:
```
CaLa2PmTl4
1.0
2.776 1.603 9.157
-2.776 1.603 9.157
0.000 -3.206 9.157
Ca La Pm Tl
1 2 1 4
Direct
0.000 0.000 0.000
0.255 0.255 0.255
0.745 0.745 0.745
0.500 0.500 0.500
0.127 0.127 0.127
0.377 0.377 0.377
0.623 0.623 0.623
0.873 0.873 0.873
```